The following is a theoretical powder diffractogram of PrI3O9. It was derived from a structure optimized by DFT (PBE), using λ = 1.5418 Å (Cu Kα).
No peak broadening, texture or thermal motion is included.

Top 10 peaks for 5° ≤ 2θ ≤ 70°, most intense first:
| 2theta | I (rel.) |
| --- | --- |
| 25.53 | 100 |
| 26.36 | 77 |
| 22.58 | 50 |
| 29.31 | 36 |
| 31.31 | 25 |
| 20.46 | 24 |
| 42.33 | 24 |
| 31.19 | 24 |
| 44.98 | 20 |
| 49.24 | 19 |

```
52
Lattice="8.972 0.000 0.000 0.000 6.057 0.000 -7.156 0.000 15.542" Properties=species:S:1:pos:R:3 pbc="T T T"
Pr 0.546 1.395 1.552
Pr -3.032 1.633 9.323
Pr 4.848 4.424 6.219
Pr 1.269 4.662 13.990
I -1.912 1.130 5.461
I -5.490 1.899 13.232
I -0.507 3.852 8.113
I 3.071 5.233 0.342
I -2.010 3.563 12.476
I 1.568 5.523 4.705
I 0.248 0.534 10.838
I 3.826 2.494 3.067
I -1.255 0.824 15.201
I 2.323 2.205 7.429
I 7.306 4.158 2.310
I 3.728 4.927 10.081
O -4.469 0.311 10.924
O -0.891 2.718 3.153
O -2.473 0.553 7.119
O -6.052 2.476 14.890
O -3.912 3.693 10.423
O -0.334 5.392 2.652
O -2.290 3.611 7.603
O -5.869 5.474 15.374
O -3.363 3.529 13.714
O 0.215 5.557 5.943
O 1.284 1.112 3.950
O -2.295 1.916 11.721
O -3.539 0.532 14.712
O 0.039 2.496 6.941
O -1.179 6.056 9.784
O 2.400 3.030 2.012
O 2.764 0.188 1.842
O -0.814 2.840 9.613
O 2.630 3.217 5.929
O -0.948 5.869 13.700
O 2.994 0.001 5.759
O -0.584 3.027 13.530
O 1.777 3.561 8.601
O 5.355 5.525 0.830
O 4.110 4.141 3.822
O 0.532 4.945 11.593
O 1.601 0.500 9.599
O 5.179 2.528 1.828
O 7.685 0.583 0.168
O 4.106 2.446 7.939
O 2.149 0.665 12.890
O 5.728 2.364 5.119
O 7.867 3.581 0.652
O 4.289 5.504 8.423
O 2.707 3.339 12.390
O 6.285 5.746 4.618
```

---

The following is a theoretical powder diffractogram of PrTaIO4. It was derived from a structure optimized by DFT (PBE), using λ = 1.5418 Å (Cu Kα).
No peak broadening, texture or thermal motion is included.

Top 10 peaks for 5° ≤ 2θ ≤ 70°, most intense first:
| 2theta | I (rel.) |
| --- | --- |
| 24.76 | 100 |
| 25.14 | 100 |
| 27.18 | 95 |
| 30.87 | 75 |
| 26.51 | 55 |
| 31.80 | 53 |
| 49.23 | 48 |
| 38.33 | 43 |
| 40.23 | 37 |
| 56.03 | 32 |

```
14
Lattice="6.729 -3.281 0.000 6.729 3.281 0.000 -2.002 0.000 6.726" Properties=species:S:1:pos:R:3 pbc="T T T"
Pr 2.146 0.000 2.108
Pr 9.309 0.000 4.617
Ta 0.080 0.000 4.700
Ta 11.375 0.000 2.026
I 4.561 0.000 5.389
I 6.894 0.000 1.336
O -0.206 0.000 2.334
O 3.569 1.809 2.558
O 0.184 0.000 6.551
O 7.886 1.809 4.168
O 3.569 -1.809 2.558
O 11.271 0.000 0.175
O 7.886 -1.809 4.168
O 11.661 0.000 4.391
```

---

The following is a theoretical powder diffractogram of PrTm2IO8. It was derived from a structure optimized by DFT (PBE), using λ = 1.5418 Å (Cu Kα).
No peak broadening, texture or thermal motion is included.

Top 10 peaks for 5° ≤ 2θ ≤ 70°, most intense first:
| 2theta | I (rel.) |
| --- | --- |
| 31.37 | 100 |
| 24.98 | 54 |
| 25.27 | 54 |
| 48.52 | 38 |
| 48.18 | 37 |
| 35.83 | 28 |
| 61.62 | 21 |
| 65.47 | 12 |
| 59.42 | 11 |
| 57.98 | 9 |

```
12
Lattice="5.012 0.000 0.000 0.000 6.933 0.000 -0.057 0.000 5.013" Properties=species:S:1:pos:R:3 pbc="T T T"
Pr 0.000 0.000 0.000
Tm 2.477 1.723 2.507
Tm 2.477 5.210 2.507
I 0.000 3.467 0.000
O 0.918 2.075 0.934
O 0.918 4.859 0.934
O 1.305 3.467 3.673
O 1.571 0.000 3.413
O 3.384 0.000 1.600
O 3.650 3.467 1.340
O 4.037 2.075 4.079
O 4.037 4.859 4.079
```